Y15Ni32: calculated X-ray diffraction stick pattern (Cu Kα X-rays), based on a DFT-relaxed cell (GGA-PBE, the Materials Project).
Intensities are scaled so that the largest is 100.

Crystal structure
```
data_Y15Ni32
_chemical_formula_sum 'Y15 Ni32'
_cell_length_a 10.173
_cell_length_b 10.173
_cell_length_c 10.173
_cell_angle_alpha 60.00
_cell_angle_beta 60.00
_cell_angle_gamma 60.00
_space_group_name_H-M_alt 'P 1'
_space_group_IT_number 1
loop_
_space_group_symop_operation_xyz
'x,y,z'
loop_
_atom_site_label
_atom_site_type_symbol
_atom_site_fract_x
_atom_site_fract_y
_atom_site_fract_z
_atom_site_occupancy
Y1 Y 0.000 0.000 0.000 1
Y2 Y 0.015 0.015 0.485 1
Y3 Y 0.015 0.485 0.015 1
Y4 Y 0.015 0.485 0.485 1
Y5 Y 0.381 0.873 0.873 1
Y6 Y 0.404 0.404 0.404 1
Y7 Y 0.404 0.404 0.789 1
Y8 Y 0.404 0.789 0.404 1
Y9 Y 0.485 0.015 0.015 1
Y10 Y 0.485 0.015 0.485 1
Y11 Y 0.485 0.485 0.015 1
Y12 Y 0.789 0.404 0.404 1
Y13 Y 0.873 0.381 0.873 1
Y14 Y 0.873 0.873 0.381 1
Y15 Y 0.873 0.873 0.873 1
Ni1 Ni 0.173 0.441 0.693 1
Ni2 Ni 0.173 0.693 0.441 1
Ni3 Ni 0.173 0.693 0.693 1
Ni4 Ni 0.188 0.188 0.687 1
Ni5 Ni 0.188 0.188 0.937 1
Ni6 Ni 0.188 0.687 0.188 1
Ni7 Ni 0.188 0.687 0.937 1
Ni8 Ni 0.188 0.937 0.188 1
Ni9 Ni 0.188 0.937 0.687 1
Ni10 Ni 0.189 0.189 0.189 1
Ni11 Ni 0.189 0.189 0.434 1
Ni12 Ni 0.189 0.434 0.189 1
Ni13 Ni 0.434 0.189 0.189 1
Ni14 Ni 0.441 0.173 0.693 1
Ni15 Ni 0.441 0.693 0.173 1
Ni16 Ni 0.441 0.693 0.693 1
Ni17 Ni 0.687 0.188 0.188 1
Ni18 Ni 0.687 0.188 0.937 1
Ni19 Ni 0.687 0.937 0.188 1
Ni20 Ni 0.689 0.689 0.689 1
Ni21 Ni 0.689 0.689 0.934 1
Ni22 Ni 0.689 0.934 0.689 1
Ni23 Ni 0.693 0.173 0.441 1
Ni24 Ni 0.693 0.173 0.693 1
Ni25 Ni 0.693 0.441 0.173 1
Ni26 Ni 0.693 0.441 0.693 1
Ni27 Ni 0.693 0.693 0.173 1
Ni28 Ni 0.693 0.693 0.441 1
Ni29 Ni 0.934 0.689 0.689 1
Ni30 Ni 0.937 0.188 0.188 1
Ni31 Ni 0.937 0.188 0.687 1
Ni32 Ni 0.937 0.687 0.188 1
```

Principal peaks in the range 2θ = 15–90°, by angle:
- 32.3 deg, I 12
- 35.3 deg, I 34
- 41.6 deg, I 100
- 43.6 deg, I 43
- 50.8 deg, I 5
- 63.3 deg, I 8
- 67.3 deg, I 5
- 67.7 deg, I 24
- 74.6 deg, I 21
- 89.3 deg, I 11